(1)
The following is a calculated PXRD pattern of Zn8Ag. It was derived from a crystal structure in Alexandria, relaxed with GGA-PBE, using λ = 1.5418 Å (Cu Kα).
Peak positions follow from Bragg's law for the DFT cell and can differ from measured ones.

Atomic structure:
```
Zn8Ag
1.0
4.6908 0.0000 0.0000
-2.0965 4.3219 0.0000
-0.4444 -0.2705 6.8873
Zn Ag
8 1
direct
0.0122 0.3474 0.3336
0.3233 0.3226 0.6681
0.3335 0.6626 0.9996
0.3480 0.0124 0.3357
0.6520 0.9876 0.6643
0.6665 0.3374 0.0004
0.6767 0.6774 0.3319
0.9878 0.6526 0.6664
0.0000 0.0000 0.0000
```

Peak list (10 most intense, 2θ from 10° to 90°, most intense first)
- 37.24°, I = 100
- 39.24°, I = 87
- 39.89°, I = 83
- 41.57°, I = 74
- 45.54°, I = 56
- 46.17°, I = 54
- 46.13°, I = 53
- 63.38°, I = 20
- 82.00°, I = 18
- 64.76°, I = 18



(2)
The following is a calculated PXRD pattern of MnSiSnIrS. It was derived from a crystal structure in Alexandria, relaxed with GGA-PBE, using λ = 1.5418 Å (Cu Kα).
Peak positions follow from Bragg's law for the DFT cell and can differ from measured ones.

Atomic structure:
```
MnSiSnIrS
1.0
3.5941 0.0000 0.0000
0.0000 2.9794 0.0000
0.0000 0.0000 15.4018
Mn Si Sn Ir S
2 2 2 2 2
direct
0.0000 0.0000 0.0000
0.0000 0.5000 0.5000
0.5000 0.0000 0.5514
0.5000 0.5000 0.0514
0.5000 0.0000 0.2556
0.5000 0.5000 0.7556
0.0000 0.0000 0.6555
0.0000 0.5000 0.1555
0.0000 0.0000 0.3948
0.0000 0.5000 0.8948
```

Peak list (10 most intense, 2θ from 10° to 90°, most intense first)
- 11.49°, I = 100
- 34.13°, I = 46
- 43.20°, I = 43
- 39.73°, I = 42
- 34.82°, I = 40
- 43.31°, I = 30
- 27.38°, I = 23
- 42.20°, I = 21
- 63.07°, I = 15
- 50.81°, I = 15



(3)
The following is a calculated PXRD pattern of CdTc2F11. It was derived from a crystal structure in Alexandria, relaxed with GGA-PBE, using λ = 1.5418 Å (Cu Kα).
Peak positions follow from Bragg's law for the DFT cell and can differ from measured ones.

Atomic structure:
```
CdTc2F11
1.0
-4.4619 4.4686 5.1933
4.4619 -4.4686 5.1933
4.4619 4.4686 -5.1933
Cd Tc F
2 4 22
direct
0.2500 0.2500 0.0000
0.7500 0.7500 0.0000
0.1623 0.6627 0.8249
0.3377 0.1627 0.5004
0.6623 0.8373 0.4996
0.8377 0.3373 0.1751
0.0000 0.5000 0.5000
0.0741 0.3553 0.1666
0.0930 0.9263 0.2826
0.1437 0.4263 0.8333
0.1887 0.9075 0.8334
0.1924 0.3083 0.5007
0.3076 0.8083 0.1160
0.3113 0.1447 0.7188
0.3563 0.1896 0.2826
0.4070 0.6896 0.8333
0.4259 0.5925 0.2812
0.5000 0.0000 0.5000
0.5741 0.4075 0.7188
0.5930 0.3104 0.1667
0.6437 0.8104 0.7174
0.6887 0.8553 0.2812
0.6924 0.1917 0.8840
0.8076 0.6917 0.4993
0.8113 0.0925 0.1666
0.8563 0.5737 0.1667
0.9070 0.0737 0.7174
0.9259 0.6447 0.8334
```

Peak list (10 most intense, 2θ from 10° to 90°, most intense first)
- 23.87°, I = 100
- 22.16°, I = 94
- 26.32°, I = 72
- 46.55°, I = 42
- 47.57°, I = 34
- 31.68°, I = 32
- 45.21°, I = 32
- 17.07°, I = 21
- 44.15°, I = 18
- 45.42°, I = 17



(4)
The following is a calculated PXRD pattern of AcPmPr6Dy2. It was derived from a crystal structure in Alexandria, relaxed with GGA-PBE, using λ = 1.5418 Å (Cu Kα).
Peak positions follow from Bragg's law for the DFT cell and can differ from measured ones.

Atomic structure:
```
AcPmPr6Dy2
1.0
4.7331 -7.7924 0.0000
4.7331 7.7924 0.0000
-1.1513 0.0000 9.8616
Ac Pm Pr Dy
2 2 12 4
direct
0.0289 0.9711 0.7500
0.9711 0.0289 0.2500
0.4094 0.5906 0.2500
0.5906 0.4094 0.7500
0.0125 0.5553 0.6813
0.1157 0.7518 0.0538
0.2482 0.8843 0.4462
0.2944 0.5092 0.8808
0.4447 0.9875 0.8187
0.4908 0.7056 0.6192
0.5092 0.2944 0.3808
0.5553 0.0125 0.1813
0.7056 0.4908 0.1192
0.7518 0.1157 0.5538
0.8843 0.2482 0.9462
0.9875 0.4447 0.3187
0.2003 0.3060 0.5472
0.3060 0.2003 0.0472
0.6940 0.7997 0.9528
0.7997 0.6940 0.4528
```

Peak list (10 most intense, 2θ from 10° to 90°, most intense first)
- 29.47°, I = 100
- 30.02°, I = 70
- 27.42°, I = 47
- 30.21°, I = 43
- 30.50°, I = 41
- 32.71°, I = 39
- 31.24°, I = 30
- 27.17°, I = 25
- 51.86°, I = 19
- 57.20°, I = 18



(5)
The following is a calculated PXRD pattern of KMn3Ag4Cl12. It was derived from a crystal structure in Alexandria, relaxed with GGA-PBE, using λ = 1.5418 Å (Cu Kα).
Peak positions follow from Bragg's law for the DFT cell and can differ from measured ones.

Atomic structure:
```
KMn3Ag4Cl12
1.0
7.0760 4.0854 3.1077
-7.0760 4.0854 3.1077
0.0000 -8.1707 3.1077
K Mn Ag Cl
1 3 4 12
direct
0.0000 0.0000 0.0000
0.0000 0.5786 0.4214
0.4214 0.0000 0.5786
0.5786 0.4214 0.0000
0.0991 0.5000 0.9009
0.5000 0.5000 0.5000
0.5000 0.9009 0.0991
0.9009 0.0991 0.5000
0.0232 0.6593 0.7285
0.0921 0.9079 0.5000
0.2715 0.3407 0.9768
0.3226 0.6774 0.5000
0.3407 0.9768 0.2715
0.5000 0.0921 0.9079
0.5000 0.3226 0.6774
0.6593 0.7285 0.0232
0.6774 0.5000 0.3226
0.7285 0.0232 0.6593
0.9079 0.5000 0.0921
0.9768 0.2715 0.3407
```

Peak list (10 most intense, 2θ from 10° to 90°, most intense first)
- 23.99°, I = 100
- 21.42°, I = 95
- 41.63°, I = 71
- 21.75°, I = 46
- 46.26°, I = 42
- 28.73°, I = 37
- 37.35°, I = 37
- 37.95°, I = 33
- 27.14°, I = 32
- 54.31°, I = 32



(6)
The following is a calculated PXRD pattern of Sc3Rh. It was derived from a crystal structure in Alexandria, relaxed with GGA-PBE, using λ = 1.5418 Å (Cu Kα).
Peak positions follow from Bragg's law for the DFT cell and can differ from measured ones.

Atomic structure:
```
Sc3Rh
1.0
6.1839 0.0000 0.0000
-3.0919 5.3554 0.0000
0.0000 0.0000 9.6425
Sc Rh
12 4
direct
0.0000 0.5000 0.0000
0.0000 0.5000 0.5000
0.1590 0.3180 0.2500
0.1590 0.8410 0.2500
0.3180 0.1590 0.7500
0.5000 0.0000 0.0000
0.5000 0.0000 0.5000
0.5000 0.5000 0.0000
0.5000 0.5000 0.5000
0.6820 0.8410 0.2500
0.8410 0.1590 0.7500
0.8410 0.6820 0.7500
0.0000 0.0000 0.0000
0.0000 0.0000 0.5000
0.3333 0.6667 0.7500
0.6667 0.3333 0.2500
```

Peak list (10 most intense, 2θ from 10° to 90°, most intense first)
- 38.46°, I = 100
- 34.77°, I = 44
- 37.30°, I = 33
- 72.66°, I = 24
- 59.82°, I = 22
- 44.01°, I = 22
- 24.85°, I = 17
- 68.04°, I = 17
- 18.96°, I = 15
- 73.40°, I = 13



(7)
The following is a calculated PXRD pattern of La9Y2Tm. It was derived from a crystal structure in Alexandria, relaxed with GGA-PBE, using λ = 1.5418 Å (Cu Kα).
Peak positions follow from Bragg's law for the DFT cell and can differ from measured ones.

Atomic structure:
```
La9Y2Tm
1.0
5.2046 0.0000 0.0000
0.0000 5.2046 0.0000
0.0000 0.0000 15.6136
La Y Tm
9 2 1
direct
0.0000 0.0000 0.0000
0.0000 0.0000 0.3326
0.0000 0.0000 0.6674
0.0000 0.5000 0.1653
0.0000 0.5000 0.5000
0.0000 0.5000 0.8347
0.5000 0.0000 0.1653
0.5000 0.0000 0.5000
0.5000 0.0000 0.8347
0.5000 0.5000 0.3326
0.5000 0.5000 0.6674
0.5000 0.5000 0.0000
```

Peak list (10 most intense, 2θ from 10° to 90°, most intense first)
- 29.73°, I = 100
- 34.46°, I = 51
- 58.85°, I = 43
- 49.54°, I = 36
- 80.43°, I = 17
- 82.97°, I = 16
- 61.74°, I = 12
- 72.67°, I = 6
- 17.97°, I = 1
- 20.51°, I = 1



(8)
The following is a calculated PXRD pattern of LiCdRu. It was derived from a crystal structure in Alexandria, relaxed with GGA-PBE, using λ = 1.5418 Å (Cu Kα).
Peak positions follow from Bragg's law for the DFT cell and can differ from measured ones.

Atomic structure:
```
LiCdRu
1.0
4.9495 0.0000 0.0000
0.0000 9.0207 0.0000
-1.2465 0.0000 4.3500
Li Cd Ru
4 4 4
direct
0.0000 0.0000 0.0000
0.0000 0.3298 0.0000
0.5000 0.5000 0.0000
0.5000 0.8298 0.0000
0.0000 0.1762 0.5000
0.0000 0.8420 0.5000
0.5000 0.3420 0.5000
0.5000 0.6762 0.5000
0.0000 0.5168 0.5000
0.0000 0.6252 0.0000
0.5000 0.0168 0.5000
0.5000 0.1252 0.0000
```

Peak list (10 most intense, 2θ from 10° to 90°, most intense first)
- 38.29°, I = 100
- 37.81°, I = 77
- 20.42°, I = 73
- 43.82°, I = 68
- 35.31°, I = 60
- 41.52°, I = 47
- 48.30°, I = 30
- 65.69°, I = 28
- 21.11°, I = 25
- 64.65°, I = 20